Structure and simulated X-ray powder pattern of Ti2NbP3O12 (a structure optimized by DFT (GGA-PBE); copper Kα).
Lines closer than 0.1° are merged.

Structural model:
a b c (Å): 8.679 8.679 8.679
angles (deg): 60.31 60.31 60.31
Fractional positions:
Ti1 0.144 0.144 0.144
Ti2 0.356 0.356 0.356
Ti3 0.644 0.644 0.644
Ti4 0.856 0.856 0.856
Nb1 0.000 0.000 0.000
Nb2 0.500 0.500 0.500
P1 0.040 0.750 0.460
P2 0.250 0.540 0.960
P3 0.460 0.040 0.750
P4 0.540 0.960 0.250
P5 0.750 0.460 0.040
P6 0.960 0.250 0.540
O1 0.003 0.810 0.617
O2 0.059 0.913 0.265
O3 0.087 0.735 0.941
O4 0.117 0.310 0.503
O5 0.190 0.383 0.997
O6 0.235 0.587 0.441
O7 0.265 0.059 0.913
O8 0.310 0.503 0.117
O9 0.383 0.997 0.190
O10 0.413 0.559 0.765
O11 0.441 0.235 0.587
O12 0.497 0.883 0.690
O13 0.503 0.117 0.310
O14 0.559 0.765 0.413
O15 0.587 0.441 0.235
O16 0.617 0.003 0.810
O17 0.690 0.497 0.883
O18 0.735 0.941 0.087
O19 0.765 0.413 0.559
O20 0.810 0.617 0.003
O21 0.883 0.690 0.497
O22 0.913 0.265 0.059
O23 0.941 0.087 0.735
O24 0.997 0.190 0.383

The 6 most intense peaks (2θ from 10° to 80°), most intense first:
20.4°, rel. 100
24.0°, rel. 93
32.6°, rel. 88
35.7°, rel. 41
46.8°, rel. 37
25.0°, rel. 34